The following is a simulated PXRD pattern of PrZnAgP2. It was derived from a cell relaxed with GGA-PBE, using Cu Kα (λ = 1.5418 Å).
Neutral-atom scattering factors, no anomalous dispersion.

Structural model:
```
data_PrZnAgP2
_chemical_formula_sum 'Pr1 Zn1 Ag1 P2'
_symmetry_space_group_name_H-M 'P 3 m 1'
_symmetry_Int_Tables_number 156
_cell_length_a 4.2010
_cell_length_b 4.2010
_cell_length_c 6.8373
_cell_angle_alpha 90.00
_cell_angle_beta 90.00
_cell_angle_gamma 120.00
loop_
_symmetry_equiv_pos_as_xyz
'x,y,z'
'-y,x-y,z'
'-x+y,-x,z'
'-y,-x,z'
'-x+y,y,z'
'x,x-y,z'
loop_
_atom_site_label
_atom_site_type_symbol
_atom_site_fract_x
_atom_site_fract_y
_atom_site_fract_z
Pr1 Pr 0.0000 0.0000 0.0000
Zn1 Zn 0.6667 0.3333 0.3876
Ag1 Ag 0.3333 0.6667 0.6512
P1 P 0.3333 0.6667 0.2671
P2 P 0.6667 0.3333 0.7637
```

Main lines, by angle (5° ≤ 2θ ≤ 70°):
- 2θ 27.78, d 3.212, I = 100, (1 0 1)
- 2θ 36.05, d 2.491, I = 65, (0 1 2)
- 2θ 43.06, d 2.100, I = 49, (1 1 0)
- 2θ 52.02, d 1.758, I = 17, (0 2 1)
- 2θ 57.38, d 1.606, I = 16, (2 0 2)
- 2θ 59.88, d 1.545, I = 20, (1 1 3)



The following is a simulated PXRD pattern of Zr5Se8. It was derived from a cell relaxed with GGA-PBE, using Cu Kα (λ = 1.5418 Å).
Neutral-atom scattering factors, no anomalous dispersion.

Structural model:
```
data_Zr5Se8
_chemical_formula_sum 'Zr5 Se8'
_symmetry_space_group_name_H-M 'P 1'
_symmetry_Int_Tables_number 1
_cell_length_a 4.112
_cell_length_b 7.108
_cell_length_c 14.925
_cell_angle_alpha 102.21
_cell_angle_beta 97.31
_cell_angle_gamma 90.04
loop_
_symmetry_equiv_pos_as_xyz
'x,y,z'
loop_
_atom_site_label
_atom_site_type_symbol
_atom_site_fract_x
_atom_site_fract_y
_atom_site_fract_z
Zr1 Zr 0.000 0.000 0.000
Zr2 Zr 0.077 0.749 0.165
Zr3 Zr 0.327 0.318 0.656
Zr4 Zr 0.580 0.218 0.167
Zr5 Zr 0.825 0.799 0.655
Se1 Se 0.041 0.366 0.082
Se2 Se 0.165 0.822 0.329
Se3 Se 0.285 0.612 0.570
Se4 Se 0.409 0.396 0.820
Se5 Se 0.528 0.829 0.061
Se6 Se 0.665 0.316 0.331
Se7 Se 0.790 0.100 0.580
Se8 Se 0.914 0.899 0.824
```

Main lines, by angle (5° ≤ 2θ ≤ 70°):
- 2θ 12.24, d 7.232, I = 79, (0 0 2)
- 2θ 25.69, d 3.468, I = 99, (-1 1 1)
- 2θ 25.96, d 3.432, I = 71, (0 2 -2)
- 2θ 27.68, d 3.223, I = 29, (0 2 1)
- 2θ 28.24, d 3.160, I = 31, (1 1 -3)
- 2θ 44.10, d 2.054, I = 100, (2 0 -1)



The following is a simulated PXRD pattern of UTeSe. It was derived from a cell relaxed with GGA-PBE, using Cu Kα (λ = 1.5418 Å).
Neutral-atom scattering factors, no anomalous dispersion.

Structural model:
```
data_UTeSe
_chemical_formula_sum 'U4 Te4 Se4'
_symmetry_space_group_name_H-M 'P n m a'
_symmetry_Int_Tables_number 62
_cell_length_a 7.232
_cell_length_b 3.645
_cell_length_c 13.053
_cell_angle_alpha 90.00
_cell_angle_beta 90.00
_cell_angle_gamma 90.00
loop_
_symmetry_equiv_pos_as_xyz
'x,y,z'
'-x,-y,-z'
'-x+1/2,-y,z+1/2'
'x+1/2,y,-z+1/2'
'x+1/2,-y+1/2,-z+1/2'
'-x+1/2,y+1/2,z+1/2'
'-x,y+1/2,-z'
'x,-y+1/2,z'
loop_
_atom_site_label
_atom_site_type_symbol
_atom_site_fract_x
_atom_site_fract_y
_atom_site_fract_z
U1 U 0.092 0.250 0.248
Te1 Te 0.159 0.250 0.895
Se1 Se 0.155 0.250 0.638
```

Main lines, by angle (5° ≤ 2θ ≤ 70°):
- 2θ 13.57, d 6.527, I = 100, (0 0 2)
- 2θ 32.03, d 2.794, I = 90, (0 1 3)
- 2θ 32.19, d 2.781, I = 74, (2 0 3)
- 2θ 34.95, d 2.567, I = 76, (2 1 0)
- 2θ 37.65, d 2.389, I = 30, (2 1 2)
- 2θ 42.60, d 2.122, I = 29, (0 1 5)



The following is a simulated PXRD pattern of Ba5Si4O14. It was derived from a cell relaxed with GGA-PBE, using Cu Kα (λ = 1.5418 Å).
Neutral-atom scattering factors, no anomalous dispersion.

Structural model:
```
data_Ba5Si4O14
_chemical_formula_sum 'Ba10 Si8 O28'
_symmetry_space_group_name_H-M 'P 4/m n c'
_symmetry_Int_Tables_number 128
_symmetry_space_group_name_Hall '-P 4 2n'
_cell_length_a 7.826
_cell_length_b 7.826
_cell_length_c 11.921
_cell_angle_alpha 90.00
_cell_angle_beta 90.00
_cell_angle_gamma 90.00
loop_
_atom_site_label
_atom_site_type_symbol
_atom_site_fract_x
_atom_site_fract_y
_atom_site_fract_z
Ba1 Ba 0.000 0.000 0.000
Ba2 Ba 0.160 0.340 0.250
Si1 Si 0.115 0.726 0.500
O1 O 0.000 0.000 0.248
O2 O 0.090 0.226 0.500
O3 O 0.126 0.669 0.113
```

Main lines, by angle (5° ≤ 2θ ≤ 70°):
- 2θ 21.92, d 4.055, I = 27, (1 1 2)
- 2θ 25.45, d 3.500, I = 22, (2 1 0)
- 2θ 29.60, d 3.018, I = 100, (2 1 2)
- 2θ 29.98, d 2.980, I = 32, (0 0 4)
- 2θ 36.30, d 2.475, I = 37, (3 1 0)
- 2θ 39.72, d 2.269, I = 43, (2 1 4)



The following is a simulated PXRD pattern of CeAlRu. It was derived from a cell relaxed with GGA-PBE, using Cu Kα (λ = 1.5418 Å).
Neutral-atom scattering factors, no anomalous dispersion.

Structural model:
```
data_CeAlRu
_chemical_formula_sum 'Ce8 Al8 Ru8'
_symmetry_space_group_name_H-M 'A m m 2'
_symmetry_Int_Tables_number 38
_cell_length_a 8.291
_cell_length_b 5.669
_cell_length_c 9.646
_cell_angle_alpha 90.00
_cell_angle_beta 90.00
_cell_angle_gamma 90.00
loop_
_symmetry_equiv_pos_as_xyz
'x,y,z'
'-x,-y,z'
'-x,y,z'
'x,-y,z'
'x,y+1/2,z+1/2'
'-x,-y+1/2,z+1/2'
'-x,y+1/2,z+1/2'
'x,-y+1/2,z+1/2'
loop_
_atom_site_label
_atom_site_type_symbol
_atom_site_fract_x
_atom_site_fract_y
_atom_site_fract_z
Ce1 Ce 0.169 0.000 0.000
Ce2 Ce 0.289 0.000 0.337
Al1 Al 0.242 0.000 0.676
Al2 Al 0.500 0.247 0.086
Ru1 Ru 0.000 0.000 0.508
Ru2 Ru 0.000 0.249 0.258
Ru3 Ru 0.500 0.000 0.843
```

Main lines, by angle (5° ≤ 2θ ≤ 70°):
- 2θ 10.67, d 8.291, I = 45, (1 0 0)
- 2θ 28.23, d 3.161, I = 26, (2 1 1)
- 2θ 32.00, d 2.797, I = 23, (0 1 3)
- 2θ 37.37, d 2.406, I = 75, (3 1 1)
- 2θ 38.42, d 2.343, I = 81, (1 2 2)
- 2θ 38.86, d 2.318, I = 100, (2 1 3)



The following is a simulated PXRD pattern of RbPO3. It was derived from a cell relaxed with GGA-PBE, using Cu Kα (λ = 1.5418 Å).
Neutral-atom scattering factors, no anomalous dispersion.

Structural model:
```
data_RbPO3
_chemical_formula_sum 'Rb4 P4 O12'
_symmetry_space_group_name_H-M 'C m c m'
_symmetry_Int_Tables_number 63
_symmetry_space_group_name_Hall '-C 2c 2'
_cell_length_a 6.074
_cell_length_b 13.382
_cell_length_c 4.863
_cell_angle_alpha 90.00
_cell_angle_beta 90.00
_cell_angle_gamma 90.00
loop_
_atom_site_label
_atom_site_type_symbol
_atom_site_fract_x
_atom_site_fract_y
_atom_site_fract_z
Rb1 Rb 0.000 0.156 0.250
P1 P 0.000 0.422 0.250
O1 O 0.000 0.500 0.000
O2 O 0.213 0.366 0.250
```

Main lines, by angle (5° ≤ 2θ ≤ 70°):
- 2θ 24.37, d 3.652, I = 100, (1 1 1)
- 2θ 24.76, d 3.595, I = 55, (1 3 0)
- 2θ 26.64, d 3.346, I = 19, (0 4 0)
- 2θ 29.41, d 3.037, I = 19, (2 0 0)
- 2θ 37.41, d 2.404, I = 26, (2 2 1)
- 2θ 44.39, d 2.041, I = 20, (2 4 1)



The following is a simulated PXRD pattern of ErSiNi3. It was derived from a cell relaxed with GGA-PBE, using Cu Kα (λ = 1.5418 Å).
Neutral-atom scattering factors, no anomalous dispersion.

Structural model:
```
data_ErSiNi3
_chemical_formula_sum 'Er2 Si2 Ni6'
_symmetry_space_group_name_H-M 'I 4 m m'
_symmetry_Int_Tables_number 107
_symmetry_space_group_name_Hall 'I 4 -2'
_cell_length_a 3.784
_cell_length_b 3.784
_cell_length_c 10.082
_cell_angle_alpha 90.00
_cell_angle_beta 90.00
_cell_angle_gamma 90.00
loop_
_atom_site_label
_atom_site_type_symbol
_atom_site_fract_x
_atom_site_fract_y
_atom_site_fract_z
Er1 Er 0.000 0.000 0.000
Si1 Si 0.000 0.000 0.368
Ni1 Ni 0.000 0.000 0.590
Ni2 Ni 0.000 0.500 0.242
```

Main lines, by angle (5° ≤ 2θ ≤ 70°):
- 2θ 25.14, d 3.543, I = 23, (1 0 1)
- 2θ 35.73, d 2.513, I = 47, (1 0 3)
- 2θ 38.08, d 2.363, I = 100, (1 1 2)
- 2θ 48.09, d 1.892, I = 37, (2 0 0)
- 2θ 51.35, d 1.779, I = 25, (1 0 5)
- 2θ 61.31, d 1.512, I = 31, (2 0 4)



The following is a simulated PXRD pattern of ZnCu2P2O9. It was derived from a cell relaxed with GGA-PBE, using Cu Kα (λ = 1.5418 Å).
Neutral-atom scattering factors, no anomalous dispersion.

Structural model:
```
data_ZnCu2P2O9
_chemical_formula_sum 'Zn4 Cu8 P8 O36'
_symmetry_space_group_name_H-M 'P n m a'
_symmetry_Int_Tables_number 62
_cell_length_a 14.760
_cell_length_b 6.127
_cell_length_c 7.086
_cell_angle_alpha 90.00
_cell_angle_beta 90.00
_cell_angle_gamma 90.00
loop_
_symmetry_equiv_pos_as_xyz
'x,y,z'
'-x,-y,-z'
'-x+1/2,-y,z+1/2'
'x+1/2,y,-z+1/2'
'x+1/2,-y+1/2,-z+1/2'
'-x+1/2,y+1/2,z+1/2'
'-x,y+1/2,-z'
'x,-y+1/2,z'
loop_
_atom_site_label
_atom_site_type_symbol
_atom_site_fract_x
_atom_site_fract_y
_atom_site_fract_z
Zn1 Zn 0.221 0.250 0.101
Cu1 Cu 0.000 0.000 0.000
Cu2 Cu 0.119 0.250 0.645
P1 P 0.070 0.750 0.632
P2 P 0.203 0.750 0.119
O1 O 0.003 0.750 0.474
O2 O 0.021 0.750 0.828
O3 O 0.047 0.250 0.872
O4 O 0.140 0.561 0.628
O5 O 0.146 0.536 0.114
O6 O 0.226 0.250 0.454
O7 O 0.237 0.250 0.803
```

Main lines, by angle (5° ≤ 2θ ≤ 70°):
- 2θ 17.35, d 5.111, I = 29, (2 0 1)
- 2θ 25.86, d 3.445, I = 100, (1 0 2)
- 2θ 27.25, d 3.273, I = 25, (4 0 1)
- 2θ 29.15, d 3.063, I = 29, (0 2 0)
- 2θ 32.41, d 2.762, I = 36, (1 2 1)
- 2θ 32.87, d 2.725, I = 45, (5 0 1)



The following is a simulated PXRD pattern of CsSb2F7. It was derived from a cell relaxed with GGA-PBE, using Cu Kα (λ = 1.5418 Å).
Neutral-atom scattering factors, no anomalous dispersion.

Structural model:
```
data_CsSb2F7
_chemical_formula_sum 'Cs4 Sb8 F28'
_symmetry_space_group_name_H-M 'C 1 2/c 1'
_symmetry_Int_Tables_number 15
_cell_length_a 20.964
_cell_length_b 6.594
_cell_length_c 6.323
_cell_angle_alpha 90.00
_cell_angle_beta 93.95
_cell_angle_gamma 90.00
loop_
_symmetry_equiv_pos_as_xyz
'x,y,z'
'-x,-y,-z'
'-x,y,-z+1/2'
'x,-y,z+1/2'
'x+1/2,y+1/2,z'
'-x+1/2,-y+1/2,-z'
'-x+1/2,y+1/2,-z+1/2'
'x+1/2,-y+1/2,z+1/2'
loop_
_atom_site_label
_atom_site_type_symbol
_atom_site_fract_x
_atom_site_fract_y
_atom_site_fract_z
Cs1 Cs 0.000 0.232 0.250
Sb1 Sb 0.160 0.247 0.788
F1 F 0.066 0.206 0.707
F2 F 0.127 0.397 0.030
F3 F 0.153 0.018 0.433
F4 F 0.250 0.250 0.000
```

Main lines, by angle (5° ≤ 2θ ≤ 70°):
- 2θ 22.77, d 3.905, I = 100, (3 1 -1)
- 2θ 23.85, d 3.731, I = 81, (3 1 1)
- 2θ 25.55, d 3.486, I = 37, (6 0 0)
- 2θ 27.04, d 3.297, I = 36, (0 2 0)
- 2θ 28.28, d 3.156, I = 27, (0 0 2)
- 2θ 39.54, d 2.279, I = 28, (0 2 2)